Entry 1:
LuCrRu2: simulated PXRD pattern (a wavelength of 1.5418 Å), based on a DFT-relaxed cell (PBE, Alexandria).
Kinematic intensities with the Lorentz-polarization factor, no thermal factor.

Structure:
```
LuCrRu2
1.0
3.124 0.000 0.000
0.000 3.124 0.000
0.000 0.000 6.502
Lu Cr Ru
1 1 2
direct
0.000 0.000 0.000
0.000 0.000 0.500
0.500 0.500 0.286
0.500 0.500 0.714
```

Largest 6 diffraction maxima, in order of falling intensity, 2θ = 5–70°:
d (Å)  I_rel
2.253  100
2.209  52
2.816  30
1.562  17
1.547  12
6.502  10



Entry 2:
ZnCuNi: simulated PXRD pattern (a wavelength of 1.5418 Å), based on a DFT-relaxed cell (PBE, Alexandria).
Kinematic intensities with the Lorentz-polarization factor, no thermal factor.

Structure:
```
ZnCuNi
1.0
2.223 -3.859 0.000
2.223 3.859 0.000
-1.409 0.000 4.229
Zn Cu Ni
2 2 2
direct
0.092 0.908 0.750
0.908 0.092 0.250
0.419 0.581 0.750
0.581 0.419 0.250
0.248 0.752 0.250
0.752 0.248 0.750
```

Largest 6 diffraction maxima, in order of falling intensity, 2θ = 5–70°:
d (Å)  I_rel
2.095  100
1.830  64
2.115  52
2.109  52
1.806  31
2.197  1



Entry 3:
Nb2PtRh7: simulated PXRD pattern (a wavelength of 1.5418 Å), based on a DFT-relaxed cell (PBE, Alexandria).
Kinematic intensities with the Lorentz-polarization factor, no thermal factor.

Structure:
```
Nb2PtRh7
1.0
4.078 -7.629 0.000
4.078 7.629 0.000
0.000 0.000 2.758
Nb Pt Rh
2 1 7
direct
0.177 0.823 0.000
0.823 0.177 0.000
0.500 0.500 0.500
0.000 0.000 0.000
0.171 0.364 0.000
0.320 0.680 0.500
0.364 0.171 0.000
0.636 0.829 0.000
0.680 0.320 0.500
0.829 0.636 0.000
```

Largest 6 diffraction maxima, in order of falling intensity, 2θ = 5–70°:
d (Å)  I_rel
2.158  100
1.985  64
2.575  60
2.786  53
2.039  47
1.921  46



Entry 4:
K2Rb7Na2: simulated PXRD pattern (a wavelength of 1.5418 Å), based on a DFT-relaxed cell (PBE, Alexandria).
Kinematic intensities with the Lorentz-polarization factor, no thermal factor.

Structure:
```
K2Rb7Na2
1.0
5.745 -6.583 0.000
5.745 6.583 0.000
-3.241 0.000 11.171
K Rb Na
2 7 2
direct
0.178 0.822 0.000
0.822 0.178 0.000
0.015 0.384 0.675
0.350 0.350 0.088
0.384 0.015 0.675
0.500 0.500 0.500
0.616 0.985 0.325
0.650 0.650 0.912
0.985 0.616 0.325
0.114 0.114 0.329
0.886 0.886 0.671
```

Largest 6 diffraction maxima, in order of falling intensity, 2θ = 5–70°:
d (Å)  I_rel
3.713  100
4.262  73
3.673  53
3.782  44
4.078  36
3.469  34



Entry 5:
UNi2H8: simulated PXRD pattern (a wavelength of 1.5418 Å), based on a DFT-relaxed cell (PBE, Alexandria).
Kinematic intensities with the Lorentz-polarization factor, no thermal factor.

Structure:
```
UNi2H8
1.0
-2.014 2.014 5.085
2.014 -2.014 5.085
2.014 2.014 -5.085
U Ni H
1 2 8
direct
0.000 0.000 0.000
0.250 0.750 0.500
0.750 0.250 0.500
0.116 0.116 0.551
0.116 0.565 0.000
0.435 0.435 0.551
0.435 0.884 0.000
0.565 0.116 0.000
0.565 0.565 0.449
0.884 0.435 0.000
0.884 0.884 0.449
```

Largest 6 diffraction maxima, in order of falling intensity, 2θ = 5–70°:
d (Å)  I_rel
3.745  100
2.485  88
2.594  40
1.774  26
2.014  23
2.543  22



Entry 6:
BaCoSeS2: simulated PXRD pattern (a wavelength of 1.5418 Å), based on a DFT-relaxed cell (PBE, Alexandria).
Kinematic intensities with the Lorentz-polarization factor, no thermal factor.

Structure:
```
BaCoSeS2
1.0
5.803 0.000 0.000
0.000 5.803 0.000
0.000 0.000 6.157
Ba Co Se S
1 1 1 2
direct
0.000 0.000 0.000
0.500 0.500 0.500
0.000 0.000 0.500
0.000 0.500 0.000
0.500 0.000 0.000
```

Largest 6 diffraction maxima, in order of falling intensity, 2θ = 5–70°:
d (Å)  I_rel
5.803  100
2.901  97
4.103  84
2.111  76
3.078  57
4.223  56



Entry 7:
SrYMgCd: simulated PXRD pattern (a wavelength of 1.5418 Å), based on a DFT-relaxed cell (PBE, Alexandria).
Kinematic intensities with the Lorentz-polarization factor, no thermal factor.

Structure:
```
SrYMgCd
1.0
0.000 3.928 3.928
3.928 0.000 3.928
3.928 3.928 0.000
Sr Y Mg Cd
1 1 1 1
direct
0.000 0.000 0.000
0.500 0.500 0.500
0.250 0.250 0.250
0.750 0.750 0.750
```

Largest 6 diffraction maxima, in order of falling intensity, 2θ = 5–70°:
d (Å)  I_rel
2.777  100
1.603  37
1.964  18
4.535  18
1.389  11
2.369  10



Entry 8:
Er2Si9Os3: simulated PXRD pattern (a wavelength of 1.5418 Å), based on a DFT-relaxed cell (PBE, Alexandria).
Kinematic intensities with the Lorentz-polarization factor, no thermal factor.

Structure:
```
Er2Si9Os3
1.0
6.471 -3.716 0.000
6.471 3.716 0.000
-4.351 0.000 8.847
Er Si Os
4 18 6
direct
0.087 0.251 0.251
0.251 0.087 0.751
0.749 0.913 0.249
0.913 0.749 0.749
0.024 0.861 0.078
0.139 0.976 0.422
0.193 0.361 0.579
0.227 0.582 0.250
0.306 0.477 0.928
0.361 0.193 0.079
0.394 0.606 0.750
0.418 0.773 0.250
0.477 0.306 0.428
0.523 0.694 0.572
0.582 0.227 0.750
0.606 0.394 0.250
0.639 0.807 0.921
0.694 0.523 0.072
0.773 0.418 0.750
0.807 0.639 0.421
0.861 0.024 0.578
0.976 0.139 0.922
0.000 0.500 0.000
0.173 0.664 0.500
0.336 0.827 0.000
0.500 0.000 0.500
0.664 0.173 0.000
0.827 0.336 0.500
```

Largest 6 diffraction maxima, in order of falling intensity, 2θ = 5–70°:
d (Å)  I_rel
2.846  100
2.148  58
2.857  50
3.726  39
2.157  30
2.310  28



Entry 9:
La4SbAsCl2: simulated PXRD pattern (a wavelength of 1.5418 Å), based on a DFT-relaxed cell (PBE, Alexandria).
Kinematic intensities with the Lorentz-polarization factor, no thermal factor.

Structure:
```
La4SbAsCl2
1.0
7.338 0.000 0.000
0.000 4.399 0.000
-2.656 0.000 7.248
La Sb As Cl
4 1 1 2
direct
0.242 0.000 0.229
0.256 0.500 0.772
0.744 0.500 0.228
0.758 0.000 0.771
0.000 0.000 0.500
0.000 0.500 0.000
0.500 0.000 0.000
0.500 0.500 0.500
```

Largest 6 diffraction maxima, in order of falling intensity, 2θ = 5–70°:
d (Å)  I_rel
3.079  100
2.221  25
2.137  24
1.790  13
2.199  13
1.540  12



Entry 10:
TbEr3Se4: simulated PXRD pattern (a wavelength of 1.5418 Å), based on a DFT-relaxed cell (PBE, Alexandria).
Kinematic intensities with the Lorentz-polarization factor, no thermal factor.

Structure:
```
TbEr3Se4
1.0
4.102 -5.731 0.000
4.102 5.731 0.000
0.000 0.000 3.999
Tb Er Se
1 3 4
direct
0.000 0.000 0.000
0.000 0.500 0.500
0.500 0.000 0.500
0.500 0.500 0.000
0.252 0.748 0.000
0.254 0.254 0.500
0.746 0.746 0.500
0.748 0.252 0.000
```

Largest 6 diffraction maxima, in order of falling intensity, 2θ = 5–70°:
d (Å)  I_rel
2.864  100
2.025  49
1.668  13
2.051  13
1.640  13
1.432  12



Entry 11:
Ho2ThRuN4: simulated PXRD pattern (a wavelength of 1.5418 Å), based on a DFT-relaxed cell (PBE, Alexandria).
Kinematic intensities with the Lorentz-polarization factor, no thermal factor.

Structure:
```
Ho2ThRuN4
1.0
1.711 -5.855 0.000
1.711 5.855 0.000
0.000 0.000 11.475
Ho Th Ru N
4 2 2 8
direct
0.130 0.870 0.548
0.130 0.870 0.952
0.870 0.130 0.048
0.870 0.130 0.452
0.386 0.614 0.750
0.614 0.386 0.250
0.356 0.644 0.250
0.644 0.356 0.750
0.044 0.956 0.750
0.227 0.773 0.129
0.227 0.773 0.371
0.500 0.500 0.000
0.500 0.500 0.500
0.773 0.227 0.629
0.773 0.227 0.871
0.956 0.044 0.250
```

Largest 6 diffraction maxima, in order of falling intensity, 2θ = 5–70°:
d (Å)  I_rel
2.851  100
2.348  77
2.928  61
3.202  59
1.712  36
2.869  33



Entry 12:
Ca2DyUSb4: simulated PXRD pattern (a wavelength of 1.5418 Å), based on a DFT-relaxed cell (PBE, Alexandria).
Kinematic intensities with the Lorentz-polarization factor, no thermal factor.

Structure:
```
Ca2DyUSb4
1.0
7.668 0.000 0.000
0.000 4.472 0.000
-2.563 0.000 7.299
Ca Dy U Sb
2 1 1 4
direct
0.000 0.000 0.000
0.500 0.500 0.000
0.000 0.500 0.500
0.500 0.000 0.500
0.252 0.000 0.735
0.260 0.500 0.267
0.740 0.500 0.733
0.748 0.000 0.265
```

Largest 6 diffraction maxima, in order of falling intensity, 2θ = 5–70°:
d (Å)  I_rel
3.155  100
2.235  57
3.142  49
7.299  45
2.219  38
1.823  30